Entry 1:
Starting from DFT lattice parameters and positions (PBE), the PXRD pattern of GaFe2Co4Si was calculated for Cu Kα (λ = 1.5418 Å).

Largest 8 diffraction maxima, by angle, 2θ = 10–80°:
2θ (°), I_rel
13.51, 2
26.03, 2
34.43, 2
41.32, 2
45.18, 100
47.37, 1
62.87, 1
65.80, 15

Structure:
Cell: 6.9521 6.9521 6.9521 Å, 33.56 33.56 33.56°
Fractional positions:
Ga 0.0000 0.0000 0.0000
Fe 0.2510 0.2510 0.2510
Fe 0.7490 0.7490 0.7490
Co 0.1285 0.1285 0.1285
Co 0.3788 0.3788 0.3788
Co 0.6212 0.6212 0.6212
Co 0.8715 0.8715 0.8715
Si 0.5000 0.5000 0.5000

---

Entry 2:
Starting from DFT lattice parameters and positions (PBE), the PXRD pattern of Mg16Al12Pd was calculated for Cu Kα (λ = 1.5418 Å).

Largest 10 diffraction maxima, by angle, 2θ = 10–80°:
2θ (°), I_rel
11.95, 68
20.89, 20
36.27, 66
36.38, 100
36.52, 82
36.60, 49
40.39, 27
40.60, 28
44.22, 25
65.62, 29

Structure:
Cell: 9.0206 9.0206 9.0696 Å, 109.39 109.39 109.01°
Fractional positions:
Mg 0.0000 0.0000 0.0000
Mg 0.0033 0.3211 0.6059
Mg 0.0062 0.3560 0.0019
Mg 0.0087 0.6060 0.3258
Mg 0.0132 0.0132 0.3554
Mg 0.2991 0.6816 0.6939
Mg 0.3211 0.0033 0.6059
Mg 0.3335 0.5907 0.9930
Mg 0.3560 0.0062 0.0019
Mg 0.4098 0.7185 0.4066
Mg 0.5907 0.3335 0.9930
Mg 0.6060 0.0087 0.3258
Mg 0.6255 0.6255 0.6702
Mg 0.6816 0.2991 0.6939
Mg 0.6968 0.6968 0.2997
Mg 0.7185 0.4098 0.4066
Al 0.0047 0.8176 0.6429
Al 0.0092 0.6385 0.8251
Al 0.1873 0.3725 0.3718
Al 0.1892 0.1892 0.8153
Al 0.2003 0.8236 0.1919
Al 0.3670 0.3670 0.1789
Al 0.3725 0.1873 0.3718
Al 0.6385 0.0092 0.8251
Al 0.6503 0.8334 0.0205
Al 0.8176 0.0047 0.6429
Al 0.8236 0.2003 0.1919
Al 0.8334 0.6503 0.0205
Pd 0.3328 0.3328 0.6536

---

Entry 3:
Starting from DFT lattice parameters and positions (PBE), the PXRD pattern of Te2MoW3Se6 was calculated for Cu Kα (λ = 1.5418 Å).

Largest 10 diffraction maxima, by angle, 2θ = 10–80°:
2θ (°), I_rel
11.49, 100
13.80, 18
30.53, 35
32.71, 15
35.89, 78
38.62, 13
43.46, 49
45.23, 16
54.25, 27
76.66, 13

Structure:
Cell: 3.3823 3.3823 38.4963 Å, 90.00 90.00 120.00°
Fractional positions:
Te 0.0000 0.0000 0.0000
Te 0.0000 0.0000 0.0982
Mo 0.0000 0.0000 0.8612
W 0.0000 0.0000 0.4855
W 0.3333 0.6667 0.0491
W 0.3333 0.6667 0.6734
Se 0.0000 0.0000 0.6302
Se 0.0000 0.0000 0.7165
Se 0.3333 0.6667 0.4423
Se 0.3333 0.6667 0.5286
Se 0.3333 0.6667 0.8182
Se 0.3333 0.6667 0.9042